# 1
Structure and computed powder diffraction line list of Al2O3 (a DFT-relaxed cell (PBE, the Materials Project); Cu Kα (λ = 1.5418 Å)).

Atomic structure:
```
Al2O3
1.0
2.4244 1.3997 4.5193
-2.4244 1.3997 4.5193
0.0000 -2.7995 4.5193
Al O
4 6
Cartesian
0.0000 0.0000 0.0000
0.0000 0.0000 2.6203
0.0000 0.0000 6.7789
0.0000 0.0000 10.9376
-0.7004 -1.4874 5.7647
-1.6383 -0.1372 7.7932
-0.9379 1.3502 5.7647
0.9379 -1.3502 7.7932
1.6383 0.1372 5.7646
0.7004 1.4874 7.7932
```

Peak list (8 most intense, 10° ≤ 2θ ≤ 90°, in order of falling intensity)
2theta	I/Imax
42.30	100
55.60	87
19.64	73
66.84	51
37.08	34
33.99	33
22.16	26
51.18	22


# 2
Structure and computed powder diffraction line list of Na2Nd2B2O7 (a DFT-relaxed cell (PBE, the Materials Project); Cu Kα (λ = 1.5418 Å)).

Atomic structure:
```
Na2Nd2B2O7
1.0
10.9143 0.0000 0.0000
0.0000 6.4924 0.0000
-4.9301 0.0000 9.3602
Na Nd B O
8 8 8 28
Cartesian
-1.0470 0.3726 2.4565
-3.5121 2.8735 7.1366
0.9623 4.7821 0.4293
-1.5027 4.9564 5.1094
7.4869 1.5359 4.2508
5.0218 1.7102 8.9309
9.4963 3.6188 2.2236
7.0312 6.1197 6.9037
-1.0689 0.5347 8.5177
1.3961 2.7115 3.8376
4.3681 3.5071 1.6810
1.9031 6.2315 6.3611
4.0811 0.2609 2.9991
1.6161 2.9853 7.6792
4.5881 3.7809 5.5226
7.0531 5.9577 0.8425
-0.8826 1.6141 5.4193
1.5824 1.6321 0.7391
-1.0315 4.2382 7.9539
1.4336 5.5003 3.2738
4.5506 0.9920 6.0864
7.0156 2.2541 1.4063
4.4018 4.8603 8.6211
6.8668 4.8783 3.9410
-3.5605 1.0729 8.8514
-1.0955 2.1733 4.1713
-1.8633 0.9756 6.1512
0.6018 2.2706 1.4711
-2.2654 4.8132 8.0843
0.1997 4.9254 3.4042
2.9045 1.5450 1.2484
0.4395 1.7012 5.9285
2.4364 4.8329 2.5517
-0.0286 4.9057 7.2318
1.7629 0.2361 3.8508
-0.7021 3.0101 8.5309
2.2190 4.0438 5.5897
4.6840 5.6947 0.9096
1.3001 0.7977 8.4506
3.7652 2.4485 3.7705
6.6863 3.4823 0.8293
4.2213 6.2563 5.5094
6.0128 1.5867 2.1284
3.5478 1.6595 6.8085
5.5447 4.7912 3.4317
3.0797 4.9474 8.1118
5.7845 1.5670 5.9560
8.2496 1.6792 1.2759
5.3824 4.2218 7.8892
7.8474 5.5168 3.2091
7.0797 4.3191 5.1889
9.5447 5.4194 0.5088
```

Peak list (8 most intense, 10° ≤ 2θ ≤ 90°, in order of falling intensity)
2theta	I/Imax
29.07	100
32.88	46
28.03	45
29.28	45
25.24	39
32.10	35
32.26	33
28.32	33


# 3
Structure and computed powder diffraction line list of Ba2LiSi3 (a DFT-relaxed cell (PBE, the Materials Project); Cu Kα (λ = 1.5418 Å)).

Atomic structure:
```
Ba2LiSi3
1.0
0.0000 7.6156 9.7785
4.3799 0.0000 9.7785
4.3799 7.6156 0.0000
Ba Li Si
8 4 12
Cartesian
5.4748 9.5195 19.5536
3.2849 5.7117 0.0033
5.4748 9.5195 4.8926
3.2849 5.7117 4.9035
3.2849 5.7117 9.7642
5.4748 9.5195 9.7927
5.4748 9.5195 14.6534
3.2849 5.7117 14.6644
3.2849 3.1583 7.3338
5.4748 6.9661 12.2231
3.2849 8.2651 7.3338
5.4748 12.0729 12.2231
5.5897 4.5126 7.2627
3.2849 0.5002 7.3338
5.5897 6.9108 7.4050
5.4748 4.3080 12.2231
7.7797 8.3204 12.2943
7.7797 10.7187 12.1519
0.9801 4.5126 7.4050
0.9801 6.9108 7.2627
3.2849 10.9233 7.3338
3.1700 8.3204 12.1519
5.4748 14.7311 12.2231
3.1700 10.7187 12.2943
```

Peak list (8 most intense, 10° ≤ 2θ ≤ 90°, in order of falling intensity)
2theta	I/Imax
29.78	100
23.41	45
41.10	18
44.04	17
61.94	16
18.14	16
56.31	14
51.65	14


# 4
Structure and computed powder diffraction line list of UGe2Pt2 (a DFT-relaxed cell (PBE, the Materials Project); Cu Kα (λ = 1.5418 Å)).

Atomic structure:
```
UGe2Pt2
1.0
4.2996 0.0000 0.0000
0.0000 4.2996 0.0000
0.0000 0.0000 10.1742
U Ge Pt
2 4 4
Cartesian
1.0749 1.0749 2.5424
3.2247 3.2247 7.6318
1.0749 1.0749 6.4583
1.0749 3.2247 0.0000
3.2247 1.0749 0.0000
3.2247 3.2247 3.7159
1.0749 1.0749 8.8718
1.0749 3.2247 5.0871
3.2247 1.0749 5.0871
3.2247 3.2247 1.3024
```

Peak list (8 most intense, 10° ≤ 2θ ≤ 90°, in order of falling intensity)
2theta	I/Imax
34.36	100
42.03	64
33.66	64
54.89	33
49.56	27
71.88	24
66.96	22
60.95	22